Calculated PXRD pattern of YRu3 for Cu Kα X-rays, from the PBE geometry in the Materials Project.
No peak broadening, texture or thermal motion is included.

Top 5 peaks for 10 to 90 degrees two-theta, by intensity:
d = 2.341 Å, intensity 100
d = 2.027 Å, intensity 49
d = 1.222 Å, intensity 36
d = 1.433 Å, intensity 31
d = 1.170 Å, intensity 10

a = 4.0540 Å, b = 4.0540 Å, c = 4.0540 Å
α = 90.00°, β = 90.00°, γ = 90.00°
Fractional positions:
Y (0.0000, 0.0000, 0.0000)
Ru (0.0000, 0.5000, 0.5000)
Ru (0.5000, 0.0000, 0.5000)
Ru (0.5000, 0.5000, 0.0000)



Calculated PXRD pattern of YZrRu2 for Cu Kα X-rays, from the PBE geometry in the Materials Project.
No peak broadening, texture or thermal motion is included.

Top 4 peaks for 10 to 90 degrees two-theta, by intensity:
d = 2.363 Å, intensity 100
d = 1.364 Å, intensity 34
d = 1.671 Å, intensity 17
d = 1.182 Å, intensity 10

a = 4.7265 Å, b = 4.7265 Å, c = 4.7265 Å
α = 60.00°, β = 60.00°, γ = 60.00°
Fractional positions:
Y (0.0000, 0.0000, 0.0000)
Zr (0.5000, 0.5000, 0.5000)
Ru (0.2500, 0.2500, 0.2500)
Ru (0.7500, 0.7500, 0.7500)



Calculated PXRD pattern of ZrRu3 for Cu Kα X-rays, from the PBE geometry in the Materials Project.
No peak broadening, texture or thermal motion is included.

Top 6 peaks for 10 to 90 degrees two-theta, by intensity:
d = 2.162 Å, intensity 100
d = 2.473 Å, intensity 25
d = 2.224 Å, intensity 24
d = 1.202 Å, intensity 19
d = 1.272 Å, intensity 17
d = 1.428 Å, intensity 17

a = 5.7121 Å, b = 5.7121 Å, c = 4.4474 Å
α = 90.00°, β = 90.00°, γ = 120.00°
Fractional positions:
Zr (0.3333, 0.6667, 0.2500)
Zr (0.6667, 0.3333, 0.7500)
Ru (0.1637, 0.3274, 0.7500)
Ru (0.1637, 0.8363, 0.7500)
Ru (0.3274, 0.1637, 0.2500)
Ru (0.6726, 0.8363, 0.7500)
Ru (0.8363, 0.1637, 0.2500)
Ru (0.8363, 0.6726, 0.2500)



Calculated PXRD pattern of ZrRu3 for Cu Kα X-rays, from the PBE geometry in the Materials Project.
No peak broadening, texture or thermal motion is included.

Top 5 peaks for 10 to 90 degrees two-theta, by intensity:
d = 2.295 Å, intensity 100
d = 1.988 Å, intensity 48
d = 1.199 Å, intensity 36
d = 1.406 Å, intensity 30
d = 1.148 Å, intensity 10

a = 3.9757 Å, b = 3.9757 Å, c = 3.9757 Å
α = 90.00°, β = 90.00°, γ = 90.00°
Fractional positions:
Zr (0.0000, 0.0000, 0.0000)
Ru (0.0000, 0.5000, 0.5000)
Ru (0.5000, 0.0000, 0.5000)
Ru (0.5000, 0.5000, 0.0000)